# 1
For Ba2Na2O3, a crystal structure in Alexandria, relaxed with PBE gives the calculated PXRD pattern in this record (λ = 1.5418 Å (Cu Kα)).
Peak positions follow from Bragg's law for the DFT cell and can differ from measured ones.

Top 6 peaks for 10° ≤ 2θ ≤ 80°, low angle first:
two_theta  d (Å)  I (rel.)  (hkl)
10.80  8.195  62  1 0 0
22.83  3.895  85  1 1 -1
26.58  3.353  83  1 1 1
28.09  3.177  100  2 1 -1
29.66  3.012  56  1 0 -2
32.78  2.732  66  3 0 0

Structural model:
Unit cell a=8.5212 b=5.5091 c=6.0456 alpha=90.00 beta=105.90 gamma=90.00
Space group P2_1/c (No. 14)
Asymmetric unit:
Ba 0.1682 0.0323 0.2921
Na 0.4251 0.6303 0.3077
O 0.1679 0.5227 0.3552
O 0.5000 0.0000 0.5000

---

# 2
For Tb3Mg2Pb3, a crystal structure in Alexandria, relaxed with PBE gives the calculated PXRD pattern in this record (λ = 1.5418 Å (Cu Kα)).
Peak positions follow from Bragg's law for the DFT cell and can differ from measured ones.

Top 6 peaks for 10° ≤ 2θ ≤ 80°, low angle first:
two_theta  d (Å)  I (rel.)  (hkl)
19.82  4.479  39  1 1 0
27.91  3.196  43  0 0 2
33.62  2.665  100  2 1 1
34.47  2.602  33  1 1 2
44.42  2.039  23  3 1 1
53.13  1.724  28  2 1 3

Structural model:
Unit cell a=8.9590 b=8.9590 c=6.3924 alpha=90.00 beta=90.00 gamma=120.00
Space group P6_3/mcm (No. 193)
Asymmetric unit:
Tb 0.0000 0.2492 0.2500
Mg 0.3333 0.6667 0.0000
Pb 0.0000 0.3941 0.7500

---

# 3
For RbNaIrF6, a crystal structure in Alexandria, relaxed with PBE gives the calculated PXRD pattern in this record (λ = 1.5418 Å (Cu Kα)).
Peak positions follow from Bragg's law for the DFT cell and can differ from measured ones.

Top 6 peaks for 10° ≤ 2θ ≤ 80°, low angle first:
two_theta  d (Å)  I (rel.)  (hkl)
15.01  5.902  22  0 0 1
17.62  5.034  42  1 0 0
23.23  3.830  100  1 0 1
30.77  2.906  24  1 1 0
43.72  2.071  35  2 -1 2
50.40  1.811  23  3 -1 1

Structural model:
Unit cell a=5.8123 b=5.8123 c=5.9017 alpha=90.00 beta=90.00 gamma=120.00
Space group P312 (No. 149)
Asymmetric unit:
Rb 0.0000 0.0000 0.0000
Na 0.3333 0.6667 0.5000
Ir 0.6667 0.3333 0.5000
F 0.3915 0.0477 0.6885

---

# 4
For Li2Al5Pd3, a crystal structure in Alexandria, relaxed with PBE gives the calculated PXRD pattern in this record (λ = 1.5418 Å (Cu Kα)).
Peak positions follow from Bragg's law for the DFT cell and can differ from measured ones.

Top 6 peaks for 10° ≤ 2θ ≤ 80°, low angle first:
two_theta  d (Å)  I (rel.)  (hkl)
21.17  4.196  64  1 1 1
21.93  4.053  44  0 2 1
23.62  3.767  51  1 3 0
32.91  2.721  45  3 1 -1
40.45  2.230  50  2 0 2
41.73  2.164  100  1 5 1

Structural model:
Unit cell a=9.2909 b=12.3729 c=5.3879 alpha=90.00 beta=95.43 gamma=90.00
Space group C2/c (No. 15)
Asymmetric unit:
Li 0.1237 0.2407 0.1130
Al 0.0000 0.0355 0.2500
Al 0.1261 0.3429 0.5927
Al 0.2369 0.4546 0.0133
Pd 0.0000 0.4707 0.2500
Pd 0.1323 0.1404 0.6138

---

# 5
For N, a crystal structure in Alexandria, relaxed with PBE gives the calculated PXRD pattern in this record (λ = 1.5418 Å (Cu Kα)).
Peak positions follow from Bragg's law for the DFT cell and can differ from measured ones.

Top 6 peaks for 10° ≤ 2θ ≤ 80°, low angle first:
two_theta  d (Å)  I (rel.)  (hkl)
26.32  3.386  60  1 0 0
26.65  3.345  60  0 1 0
26.82  3.324  60  0 1 1
27.25  3.273  60  1 0 1
31.71  2.821  100  1 1 1
45.40  1.998  14  0 2 1

Structural model:
Unit cell a=3.9873 b=3.9957 c=4.0759 alpha=60.94 beta=62.46 gamma=89.93
Space group P-1 (No. 2)
Asymmetric unit:
N 0.0972 0.0927 0.3165

---

# 6
For CaBi2Pd5, a crystal structure in Alexandria, relaxed with PBE gives the calculated PXRD pattern in this record (λ = 1.5418 Å (Cu Kα)).
Peak positions follow from Bragg's law for the DFT cell and can differ from measured ones.

Top 6 peaks for 10° ≤ 2θ ≤ 80°, low angle first:
two_theta  d (Å)  I (rel.)  (hkl)
25.62  3.477  66  1 1 0
29.11  3.068  48  1 1 2
37.70  2.386  100  1 2 1
40.43  2.231  87  1 0 5
41.38  2.182  60  0 2 4
41.88  2.157  45  2 0 0

Structural model:
Unit cell a=4.3140 b=5.8747 c=13.0355 alpha=90.00 beta=90.00 gamma=90.00
Space group Immm (No. 71)
Asymmetric unit:
Ca 0.0000 0.0000 0.0000
Bi 0.0000 0.5000 0.2140
Pd 0.0000 0.2390 0.3906
Pd 0.0000 0.5000 0.0000

---

# 7
For Ca3Pa2Rh4, a crystal structure in Alexandria, relaxed with PBE gives the calculated PXRD pattern in this record (λ = 1.5418 Å (Cu Kα)).
Peak positions follow from Bragg's law for the DFT cell and can differ from measured ones.

Top 6 peaks for 10° ≤ 2θ ≤ 80°, low angle first:
two_theta  d (Å)  I (rel.)  (hkl)
14.35  6.174  100  2 0 0
25.05  3.555  75  1 1 -1
30.80  2.903  49  3 1 -1
31.52  2.839  55  3 1 0
34.12  2.627  56  4 0 1
39.44  2.285  81  3 1 -3

Structural model:
Unit cell a=13.1213 b=3.9202 c=8.9838 alpha=90.00 beta=109.77 gamma=90.00
Space group C2/m (No. 12)
Asymmetric unit:
Ca 0.0000 0.0000 0.0000
Ca 0.0922 0.5000 0.7098
Pa 0.1918 0.5000 0.3224
Rh 0.1036 0.0000 0.4426
Rh 0.2123 0.5000 0.0748

---

# 8
For TlInGaSn, a crystal structure in Alexandria, relaxed with PBE gives the calculated PXRD pattern in this record (λ = 1.5418 Å (Cu Kα)).
Peak positions follow from Bragg's law for the DFT cell and can differ from measured ones.

Top 6 peaks for 10° ≤ 2θ ≤ 80°, low angle first:
two_theta  d (Å)  I (rel.)  (hkl)
27.52  3.241  22  1 0 1
32.98  2.716  100  1 0 2
36.33  2.473  43  1 1 0
52.32  1.748  15  2 0 0
56.63  1.625  16  1 1 4
63.25  1.470  31  2 1 2

Structural model:
Unit cell a=3.4970 b=3.4970 c=8.6254 alpha=90.00 beta=90.00 gamma=90.00
Space group P4mm (No. 99)
Asymmetric unit:
Tl 0.0000 0.0000 0.0000
In 0.5000 0.5000 0.7139
Ga 0.0000 0.0000 0.4984
Sn 0.5000 0.5000 0.2871

---

# 9
For KDyAgF6, a crystal structure in Alexandria, relaxed with PBE gives the calculated PXRD pattern in this record (λ = 1.5418 Å (Cu Kα)).
Peak positions follow from Bragg's law for the DFT cell and can differ from measured ones.

Top 6 peaks for 10° ≤ 2θ ≤ 80°, low angle first:
two_theta  d (Å)  I (rel.)  (hkl)
16.26  5.451  100  1 0 0
23.11  3.849  45  1 -1 0
23.68  3.757  40  1 1 0
23.94  3.717  45  1 1 -1
30.03  2.976  43  0 2 -1
34.54  2.597  45  1 2 -1

Structural model:
Unit cell a=5.4528 b=5.9578 c=5.9611 alpha=117.03 beta=90.84 gamma=90.86
Space group P1 (No. 1)
Asymmetric unit:
K 0.0000 0.0000 0.0000
Dy 0.5004 0.3313 0.6688
Ag 0.5005 0.6712 0.3285
F 0.2596 0.0392 0.6487
F 0.2969 0.3711 0.3561
F 0.3087 0.6338 0.9902
F 0.6924 0.0100 0.3665
F 0.7042 0.6436 0.6281
F 0.7424 0.3527 0.9603

---

# 10
For Ho4Mg6Pb7, a crystal structure in Alexandria, relaxed with PBE gives the calculated PXRD pattern in this record (λ = 1.5418 Å (Cu Kα)).
Peak positions follow from Bragg's law for the DFT cell and can differ from measured ones.

Top 6 peaks for 10° ≤ 2θ ≤ 80°, low angle first:
two_theta  d (Å)  I (rel.)  (hkl)
22.46  3.958  63  2 1 1
31.98  2.799  100  2 2 2
34.61  2.591  54  3 2 1
37.09  2.424  76  4 0 0
53.46  1.714  52  4 4 0
63.66  1.462  40  6 2 2

Structural model:
Unit cell a=9.6959 b=9.6959 c=9.6959 alpha=90.00 beta=90.00 gamma=90.00
Space group Im-3m (No. 229)
Asymmetric unit:
Ho 0.2500 0.2500 0.2500
Mg 0.0000 0.0000 0.2978
Pb 0.0000 0.0000 0.0000
Pb 0.0000 0.2500 0.5000

---

# 11
For LiSi6Bi9O26, a crystal structure in Alexandria, relaxed with PBE gives the calculated PXRD pattern in this record (λ = 1.5418 Å (Cu Kα)).
Peak positions follow from Bragg's law for the DFT cell and can differ from measured ones.

Top 6 peaks for 10° ≤ 2θ ≤ 80°, low angle first:
two_theta  d (Å)  I (rel.)  (hkl)
22.15  4.014  39  2 -1 1
27.26  3.271  40  0 1 2
28.01  3.186  39  2 1 0
30.76  2.907  100  2 1 1
31.19  2.868  44  1 1 2
47.88  1.900  34  3 -2 3

Structural model:
Unit cell a=9.7332 b=9.7332 c=7.0992 alpha=90.00 beta=90.00 gamma=120.00
Space group P3 (No. 143)
Asymmetric unit:
Li 0.0000 0.0000 0.0000
Si 0.0434 0.7381 0.6719
Si 0.0648 0.3554 0.1727
Bi 0.0000 0.0000 0.4243
Bi 0.3333 0.6667 0.4351
Bi 0.3333 0.6667 0.9249
Bi 0.4232 0.1087 0.6674
Bi 0.4375 0.3453 0.1621
O 0.0029 0.4207 0.9927
O 0.0125 0.4274 0.3548
O 0.0684 0.2070 0.6662
O 0.1696 0.6716 0.6706
O 0.1719 0.0055 0.1753
O 0.1971 0.7377 0.1630
O 0.3262 0.2447 0.4901
O 0.3445 0.2603 0.8476
O 0.6667 0.3333 0.1542
O 0.6667 0.3333 0.6483

---

# 12
For DyTm8Sc3, a crystal structure in Alexandria, relaxed with PBE gives the calculated PXRD pattern in this record (λ = 1.5418 Å (Cu Kα)).
Peak positions follow from Bragg's law for the DFT cell and can differ from measured ones.

Top 6 peaks for 10° ≤ 2θ ≤ 80°, low angle first:
two_theta  d (Å)  I (rel.)  (hkl)
23.93  3.719  50  2 0 0
34.10  2.630  100  2 2 0
42.08  2.147  15  2 2 4
49.03  1.858  12  4 0 0
55.21  1.664  14  4 0 4
61.03  1.518  37  4 2 4

Structural model:
Unit cell a=7.4318 b=7.4318 c=14.8990 alpha=90.00 beta=90.00 gamma=90.00
Space group I4/mmm (No. 139)
Asymmetric unit:
Dy 0.0000 0.0000 0.0000
Tm 0.2462 0.2462 0.3726
Sc 0.0000 0.0000 0.5000
Sc 0.0000 0.5000 0.2500

---

Repeat the fifth record exactly.
For N, a crystal structure in Alexandria, relaxed with PBE gives the calculated PXRD pattern in this record (λ = 1.5418 Å (Cu Kα)).
Peak positions follow from Bragg's law for the DFT cell and can differ from measured ones.

Top 6 peaks for 10° ≤ 2θ ≤ 80°, low angle first:
two_theta  d (Å)  I (rel.)  (hkl)
26.32  3.386  60  1 0 0
26.65  3.345  60  0 1 0
26.82  3.324  60  0 1 1
27.25  3.273  60  1 0 1
31.71  2.821  100  1 1 1
45.40  1.998  14  0 2 1

Structural model:
Unit cell a=3.9873 b=3.9957 c=4.0759 alpha=60.94 beta=62.46 gamma=89.93
Space group P-1 (No. 2)
Asymmetric unit:
N 0.0972 0.0927 0.3165

---

Repeat the ninth record exactly.
For KDyAgF6, a crystal structure in Alexandria, relaxed with PBE gives the calculated PXRD pattern in this record (λ = 1.5418 Å (Cu Kα)).
Peak positions follow from Bragg's law for the DFT cell and can differ from measured ones.

Top 6 peaks for 10° ≤ 2θ ≤ 80°, low angle first:
two_theta  d (Å)  I (rel.)  (hkl)
16.26  5.451  100  1 0 0
23.11  3.849  45  1 -1 0
23.68  3.757  40  1 1 0
23.94  3.717  45  1 1 -1
30.03  2.976  43  0 2 -1
34.54  2.597  45  1 2 -1

Structural model:
Unit cell a=5.4528 b=5.9578 c=5.9611 alpha=117.03 beta=90.84 gamma=90.86
Space group P1 (No. 1)
Asymmetric unit:
K 0.0000 0.0000 0.0000
Dy 0.5004 0.3313 0.6688
Ag 0.5005 0.6712 0.3285
F 0.2596 0.0392 0.6487
F 0.2969 0.3711 0.3561
F 0.3087 0.6338 0.9902
F 0.6924 0.0100 0.3665
F 0.7042 0.6436 0.6281
F 0.7424 0.3527 0.9603